Entry 1:
Calculated X-ray diffraction stick pattern
Compound: K2Ga2As3
Radiation: a wavelength of 1.5418 Å
Structure: DFT lattice parameters and positions (GGA-PBE)
Kinematic intensities with the Lorentz-polarization factor, no thermal factor.

Cell and atoms:
```
data_K2Ga2As3
_chemical_formula_sum 'K16 Ga16 As24'
_symmetry_space_group_name_H-M 'P 1 21/c 1'
_symmetry_Int_Tables_number 14
_symmetry_space_group_name_Hall '-P 2ybc'
_cell_length_a 14.0071
_cell_length_b 6.8624
_cell_length_c 15.9213
_cell_angle_alpha 90.00
_cell_angle_beta 90.27
_cell_angle_gamma 90.00
loop_
_atom_site_label
_atom_site_fract_x
_atom_site_fract_y
_atom_site_fract_z
_atom_site_occupancy
K1 0.0575 0.0677 0.1017 1
K2 0.1533 0.5536 0.0183 1
K3 0.3555 0.0319 0.0043 1
K4 0.4212 0.5341 0.1083 1
Ga1 0.0921 0.7474 0.2589 1
Ga2 0.1855 0.2258 0.3249 1
Ga3 0.3163 0.7404 0.3188 1
Ga4 0.4089 0.2113 0.2688 1
As1 0.0264 0.0499 0.3325 1
As2 0.1714 0.5641 0.3799 1
As3 0.2460 0.6625 0.6767 1
As4 0.2565 0.2019 0.1804 1
As5 0.3346 0.0536 0.3966 1
As6 0.4679 0.5398 0.3216 1
```

Principal peaks in the range 2θ from 10° to 90°, sorted by position:
| 2theta | I_rel | index |
| --- | --- | --- |
| 11.11 | 100 | 0 0 2 |
| 12.79 | 21 | 1 0 2 |
| 26.58 | 17 | 0 2 1 |
| 28.32 | 28 | 0 2 2 |
| 28.55 | 21 | 3 1 -3 |
| 28.65 | 16 | 3 1 3 |
| 28.98 | 14 | 2 2 0 |
| 29.16 | 20 | 4 1 -1 |
| 30.79 | 17 | 4 1 2 |
| 31.63 | 32 | 1 1 -5 |
| 45.05 | 14 | 2 2 -6 |
| 47.47 | 24 | 4 3 0 |

***

Entry 2:
Calculated X-ray diffraction stick pattern
Compound: BaMg4Ge3
Radiation: a wavelength of 1.5418 Å
Structure: DFT lattice parameters and positions (GGA-PBE)
Kinematic intensities with the Lorentz-polarization factor, no thermal factor.

Cell and atoms:
```
data_BaMg4Ge3
_chemical_formula_sum 'Ba1 Mg4 Ge3'
_symmetry_space_group_name_H-M 'P 4/m m m'
_symmetry_Int_Tables_number 123
_symmetry_space_group_name_Hall '-P 4 2'
_cell_length_a 4.6832
_cell_length_b 4.6832
_cell_length_c 8.7996
_cell_angle_alpha 90.00
_cell_angle_beta 90.00
_cell_angle_gamma 90.00
loop_
_atom_site_label
_atom_site_fract_x
_atom_site_fract_y
_atom_site_fract_z
_atom_site_occupancy
Ba1 0.0000 0.0000 0.0000 1
Mg1 0.0000 0.5000 0.3190 1
Ge1 0.0000 0.0000 0.5000 1
Ge2 0.5000 0.5000 0.1481 1
```

Principal peaks in the range 2θ from 10° to 90°, sorted by position:
| 2theta | I_rel | index |
| --- | --- | --- |
| 10.05 | 41 | 0 0 1 |
| 26.92 | 56 | 1 1 0 |
| 27.82 | 100 | 1 0 2 |
| 28.81 | 53 | 1 1 1 |
| 33.88 | 50 | 1 1 2 |
| 36.13 | 31 | 1 0 3 |
| 38.44 | 71 | 2 0 0 |
| 45.56 | 46 | 1 0 4 |
| 48.12 | 44 | 2 1 2 |
| 53.78 | 20 | 2 1 3 |
| 55.50 | 24 | 2 2 0 |
| 61.09 | 38 | 2 1 4 |

***

Entry 3:
Calculated X-ray diffraction stick pattern
Compound: H3S
Radiation: a wavelength of 1.5418 Å
Structure: DFT lattice parameters and positions (GGA-PBE)
Kinematic intensities with the Lorentz-polarization factor, no thermal factor.

Cell and atoms:
```
data_H3S
_chemical_formula_sum 'H6 S2'
_symmetry_space_group_name_H-M 'C 1 m 1'
_symmetry_Int_Tables_number 8
_symmetry_space_group_name_Hall 'C -2y'
_cell_length_a 4.2007
_cell_length_b 5.6191
_cell_length_c 3.4724
_cell_angle_alpha 90.00
_cell_angle_beta 126.71
_cell_angle_gamma 90.00
loop_
_atom_site_label
_atom_site_fract_x
_atom_site_fract_y
_atom_site_fract_z
_atom_site_occupancy
H1 0.0000 0.0000 0.0000 1
H2 0.4965 0.1795 0.6343 1
S1 0.1781 0.5000 0.0251 1
```

Principal peaks in the range 2θ from 10° to 90°, sorted by position:
| 2theta | I_rel | index |
| --- | --- | --- |
| 30.96 | 100 | 1 1 0 |
| 31.16 | 96 | 1 1 -1 |
| 31.85 | 45 | 0 2 0 |
| 32.15 | 43 | 0 0 1 |
| 43.07 | 20 | 2 0 -1 |
| 45.89 | 33 | 0 2 1 |
| 54.53 | 23 | 2 2 -1 |
| 56.19 | 14 | 1 3 0 |
| 56.32 | 14 | 1 3 -1 |
| 56.46 | 14 | 1 1 1 |
| 56.83 | 14 | 1 1 -2 |
| 64.98 | 10 | 2 2 -2 |

***

Entry 4:
Calculated X-ray diffraction stick pattern
Compound: Ca2Cu6P5
Radiation: a wavelength of 1.5418 Å
Structure: DFT lattice parameters and positions (GGA-PBE)
Kinematic intensities with the Lorentz-polarization factor, no thermal factor.

Cell and atoms:
```
data_Ca2Cu6P5
_chemical_formula_sum 'Ca4 Cu12 P10'
_symmetry_space_group_name_H-M 'I 4/m m m'
_symmetry_Int_Tables_number 139
_symmetry_space_group_name_Hall '-I 4 2'
_cell_length_a 4.0076
_cell_length_b 4.0076
_cell_length_c 24.6460
_cell_angle_alpha 90.00
_cell_angle_beta 90.00
_cell_angle_gamma 90.00
loop_
_atom_site_label
_atom_site_fract_x
_atom_site_fract_y
_atom_site_fract_z
_atom_site_occupancy
Ca1 0.0000 0.0000 0.1491 1
Cu1 0.0000 0.5000 0.0538 1
Cu2 0.0000 0.5000 0.2500 1
P1 0.0000 0.0000 0.0000 1
P2 0.0000 0.0000 0.3024 1
P3 0.0000 0.0000 0.3943 1
```

Principal peaks in the range 2θ from 10° to 90°, sorted by position:
| 2theta | I_rel | index |
| --- | --- | --- |
| 14.38 | 29 | 0 0 4 |
| 21.63 | 27 | 0 0 6 |
| 31.57 | 21 | 1 1 0 |
| 33.89 | 29 | 1 0 7 |
| 34.85 | 78 | 1 1 4 |
| 36.46 | 27 | 0 0 10 |
| 38.60 | 89 | 1 1 6 |
| 45.25 | 100 | 2 0 0 |
| 48.98 | 82 | 1 1 10 |
| 59.45 | 23 | 2 0 10 |
| 65.92 | 30 | 2 2 0 |
| 86.32 | 30 | 3 1 10 |

***

Entry 5:
Calculated X-ray diffraction stick pattern
Compound: CaSi2Ni2
Radiation: a wavelength of 1.5418 Å
Structure: DFT lattice parameters and positions (GGA-PBE)
Kinematic intensities with the Lorentz-polarization factor, no thermal factor.

Cell and atoms:
```
data_CaSi2Ni2
_chemical_formula_sum 'Ca2 Si4 Ni4'
_symmetry_space_group_name_H-M 'I 4/m m m'
_symmetry_Int_Tables_number 139
_symmetry_space_group_name_Hall '-I 4 2'
_cell_length_a 3.9883
_cell_length_b 3.9883
_cell_length_c 9.6442
_cell_angle_alpha 90.00
_cell_angle_beta 90.00
_cell_angle_gamma 90.00
loop_
_atom_site_label
_atom_site_fract_x
_atom_site_fract_y
_atom_site_fract_z
_atom_site_occupancy
Ca1 0.0000 0.0000 0.0000 1
Si1 0.0000 0.0000 0.3705 1
Ni1 0.0000 0.5000 0.2500 1
```

Principal peaks in the range 2θ from 10° to 90°, sorted by position:
| 2theta | I_rel | index |
| --- | --- | --- |
| 18.40 | 42 | 0 0 2 |
| 35.88 | 28 | 1 0 3 |
| 36.92 | 100 | 1 1 2 |
| 37.29 | 11 | 0 0 4 |
| 45.48 | 49 | 2 0 0 |
| 49.46 | 12 | 2 0 2 |
| 49.75 | 30 | 1 1 4 |
| 59.25 | 12 | 2 1 3 |
| 66.28 | 15 | 2 2 0 |
| 67.01 | 18 | 1 1 6 |
| 78.37 | 19 | 3 1 2 |
| 87.23 | 12 | 3 1 4 |

***

Entry 6:
Calculated X-ray diffraction stick pattern
Compound: CuH2O2
Radiation: a wavelength of 1.5418 Å
Structure: DFT lattice parameters and positions (GGA-PBE)
Kinematic intensities with the Lorentz-polarization factor, no thermal factor.

Cell and atoms:
```
data_CuH2O2
_chemical_formula_sum 'Cu4 H8 O8'
_symmetry_space_group_name_H-M 'C 1 c 1'
_symmetry_Int_Tables_number 9
_symmetry_space_group_name_Hall 'C -2yc'
_cell_length_a 2.9571
_cell_length_b 11.2825
_cell_length_c 5.2440
_cell_angle_alpha 90.00
_cell_angle_beta 92.76
_cell_angle_gamma 90.00
loop_
_atom_site_label
_atom_site_fract_x
_atom_site_fract_y
_atom_site_fract_z
_atom_site_occupancy
Cu1 0.0000 0.1781 0.0000 1
H1 0.0575 0.1344 0.5199 1
H2 0.4940 0.0190 0.1444 1
O1 0.0115 0.2088 0.4270 1
O2 0.4829 0.0599 0.9772 1
```

Principal peaks in the range 2θ from 10° to 90°, sorted by position:
| 2theta | I_rel | index |
| --- | --- | --- |
| 15.71 | 72 | 0 2 0 |
| 23.17 | 100 | 0 2 1 |
| 34.24 | 54 | 0 0 2 |
| 35.06 | 19 | 1 1 -1 |
| 36.17 | 14 | 0 4 1 |
| 36.52 | 16 | 1 1 1 |
| 37.88 | 15 | 0 2 2 |
| 38.77 | 61 | 1 3 0 |
| 50.93 | 17 | 1 5 0 |
| 51.60 | 24 | 1 3 -2 |
| 53.73 | 19 | 1 3 2 |
| 63.75 | 13 | 1 5 2 |

***

Entry 7:
Calculated X-ray diffraction stick pattern
Compound: Ba3AlSb3
Radiation: a wavelength of 1.5418 Å
Structure: DFT lattice parameters and positions (GGA-PBE)
Kinematic intensities with the Lorentz-polarization factor, no thermal factor.

Cell and atoms:
```
data_Ba3AlSb3
_chemical_formula_sum 'Ba24 Al8 Sb24'
_symmetry_space_group_name_H-M 'C m c e'
_symmetry_Int_Tables_number 64
_symmetry_space_group_name_Hall '-C 2ac 2'
_cell_length_a 21.3995
_cell_length_b 7.2806
_cell_length_c 14.2714
_cell_angle_alpha 90.00
_cell_angle_beta 90.00
_cell_angle_gamma 90.00
loop_
_atom_site_label
_atom_site_fract_x
_atom_site_fract_y
_atom_site_fract_z
_atom_site_occupancy
Ba1 0.0000 0.1856 0.1472 1
Ba2 0.1745 0.1954 0.8711 1
Al1 0.0852 0.0000 0.5000 1
Sb1 0.0000 0.2036 0.3983 1
Sb2 0.1590 0.2003 0.6198 1
```

Principal peaks in the range 2θ from 10° to 90°, sorted by position:
| 2theta | I_rel | index |
| --- | --- | --- |
| 24.45 | 34 | 0 2 0 |
| 24.96 | 100 | 6 0 0 |
| 26.61 | 18 | 2 2 1 |
| 30.35 | 12 | 4 2 1 |
| 32.07 | 9 | 2 2 3 |
| 35.23 | 65 | 6 2 0 |
| 35.59 | 42 | 6 0 4 |
| 43.66 | 27 | 6 2 4 |
| 51.22 | 13 | 12 0 0 |
| 57.54 | 9 | 12 2 0 |
| 57.80 | 13 | 12 0 4 |
| 63.69 | 15 | 12 2 4 |

***

What did the fourth record say?
Calculated X-ray diffraction stick pattern
Compound: Ca2Cu6P5
Radiation: a wavelength of 1.5418 Å
Structure: DFT lattice parameters and positions (GGA-PBE)
Kinematic intensities with the Lorentz-polarization factor, no thermal factor.

Cell and atoms:
```
data_Ca2Cu6P5
_chemical_formula_sum 'Ca4 Cu12 P10'
_symmetry_space_group_name_H-M 'I 4/m m m'
_symmetry_Int_Tables_number 139
_symmetry_space_group_name_Hall '-I 4 2'
_cell_length_a 4.0076
_cell_length_b 4.0076
_cell_length_c 24.6460
_cell_angle_alpha 90.00
_cell_angle_beta 90.00
_cell_angle_gamma 90.00
loop_
_atom_site_label
_atom_site_fract_x
_atom_site_fract_y
_atom_site_fract_z
_atom_site_occupancy
Ca1 0.0000 0.0000 0.1491 1
Cu1 0.0000 0.5000 0.0538 1
Cu2 0.0000 0.5000 0.2500 1
P1 0.0000 0.0000 0.0000 1
P2 0.0000 0.0000 0.3024 1
P3 0.0000 0.0000 0.3943 1
```

Principal peaks in the range 2θ from 10° to 90°, sorted by position:
| 2theta | I_rel | index |
| --- | --- | --- |
| 14.38 | 29 | 0 0 4 |
| 21.63 | 27 | 0 0 6 |
| 31.57 | 21 | 1 1 0 |
| 33.89 | 29 | 1 0 7 |
| 34.85 | 78 | 1 1 4 |
| 36.46 | 27 | 0 0 10 |
| 38.60 | 89 | 1 1 6 |
| 45.25 | 100 | 2 0 0 |
| 48.98 | 82 | 1 1 10 |
| 59.45 | 23 | 2 0 10 |
| 65.92 | 30 | 2 2 0 |
| 86.32 | 30 | 3 1 10 |